Simulated powder diffraction line list
Compound: LiFeP2O7
Radiation: copper Kα
Structure: a PBE+U-relaxed structure
No peak broadening, texture or thermal motion is included.

Atomic structure:
Cell: 5.0836 13.2557 9.7521 Å, 90.00 119.36 90.00°
Sites, in units of the cell vectors:
Li: 0.0205 0.1215 0.1480
Li: 0.0205 0.3785 0.6480
Li: 0.9795 0.6215 0.3520
Li: 0.9795 0.8785 0.8520
Fe: 0.0336 0.6740 0.7345
Fe: 0.0336 0.8260 0.2345
Fe: 0.9664 0.1740 0.7655
Fe: 0.9664 0.3260 0.2655
P: 0.2784 0.1779 0.5427
P: 0.2784 0.3221 0.0427
P: 0.4760 0.0314 0.7763
P: 0.4760 0.4686 0.2763
P: 0.5240 0.5314 0.7237
P: 0.5240 0.9686 0.2237
P: 0.7216 0.6779 0.9573
P: 0.7216 0.8221 0.4573
O: 0.0600 0.1911 0.3657
O: 0.0600 0.3089 0.8657
O: 0.1561 0.2288 0.6410
O: 0.1561 0.2712 0.1410
O: 0.2188 0.0508 0.8165
O: 0.2188 0.4492 0.3165
O: 0.2642 0.6104 0.6396
O: 0.2642 0.8896 0.1396
O: 0.3132 0.0596 0.5854
O: 0.3132 0.4404 0.0854
O: 0.4063 0.7144 0.9191
O: 0.4063 0.7856 0.4191
O: 0.4169 0.0745 0.2047
O: 0.4169 0.4255 0.7047
O: 0.5831 0.5745 0.2953
O: 0.5831 0.9255 0.7953
O: 0.5937 0.2144 0.5809
O: 0.5937 0.2856 0.0809
O: 0.6868 0.5596 0.9146
O: 0.6868 0.9404 0.4146
O: 0.7358 0.1104 0.8604
O: 0.7358 0.3896 0.3604
O: 0.7812 0.5508 0.6835
O: 0.7812 0.9492 0.1835
O: 0.8439 0.7288 0.8590
O: 0.8439 0.7712 0.3590
O: 0.9400 0.6911 0.1343
O: 0.9400 0.8089 0.6343

Largest 10 diffraction maxima, in order of rising 2θ, 15° ≤ 2θ ≤ 90°:
d/Å  I/Imax
5.227  100
4.250  33
4.085  27
3.920  16
3.683  44
3.604  32
2.967  20
2.885  19
2.771  16
2.347  25

Simulated powder diffraction line list
Compound: Li3Fe2P3O12
Radiation: copper Kα
Structure: a PBE+U-relaxed structure
No peak broadening, texture or thermal motion is included.

Atomic structure:
Cell: 8.7584 8.7584 8.7131 Å, 119.74 119.74 59.73°
Sites, in units of the cell vectors:
Li: 0.0727 0.9273 0.5000
Li: 0.2214 0.5404 0.0268
Li: 0.5404 0.2214 0.5268
Li: 0.5458 0.8106 0.4543
Li: 0.8106 0.5458 0.9543
Li: 0.9273 0.0727 0.0000
Fe: 0.0405 0.5396 0.3439
Fe: 0.3396 0.8326 0.0583
Fe: 0.5396 0.0405 0.8439
Fe: 0.8326 0.3396 0.5583
P: 0.1366 0.2310 0.9455
P: 0.2310 0.1366 0.4455
P: 0.4358 0.6578 0.6586
P: 0.6578 0.4358 0.1587
P: 0.7164 0.9376 0.2443
P: 0.9376 0.7164 0.7443
O: 0.0761 0.1655 0.5048
O: 0.1142 0.4273 0.1031
O: 0.1198 0.7386 0.9075
O: 0.1655 0.0761 0.0048
O: 0.1919 0.3012 0.3944
O: 0.2397 0.6602 0.5137
O: 0.2465 0.9502 0.2790
O: 0.3012 0.1919 0.8944
O: 0.4273 0.1142 0.6031
O: 0.4440 0.7110 0.8592
O: 0.4601 0.5857 0.1186
O: 0.4768 0.8046 0.6470
O: 0.5630 0.9069 0.2567
O: 0.5857 0.4601 0.6186
O: 0.6602 0.2397 0.0137
O: 0.6651 0.9408 0.0500
O: 0.7110 0.4440 0.3592
O: 0.7386 0.1198 0.4075
O: 0.7800 0.9092 0.7789
O: 0.8046 0.4768 0.1470
O: 0.9069 0.5630 0.7567
O: 0.9092 0.7800 0.2789
O: 0.9408 0.6651 0.5500
O: 0.9502 0.2465 0.7790

Largest 10 diffraction maxima, in order of rising 2θ, 15° ≤ 2θ ≤ 90°:
d/Å  I/Imax
4.381  68
4.358  54
3.750  41
3.721  100
3.115  22
3.082  39
2.779  24
2.536  22
2.522  31
1.860  27